This entry pairs a crystal structure of HoGa2P2Pt7 with its simulated X-ray powder pattern. Radiation: λ = 1.5418 Å (Cu Kα). Structure: a structure optimized by DFT (PBE).

Most intense lines, 2θ from 10° to 90°, sorted by position:
(0 0 2), 12.40 deg, intensity 254
(0 0 3), 18.64 deg, intensity 231
(0 0 5), 31.32 deg, intensity 471
(0 2 1), 32.85 deg, intensity 245
(0 2 2), 34.66 deg, intensity 525
(2 0 -3), 35.96 deg, intensity 662
(2 0 2), 36.28 deg, intensity 698
(0 2 3), 37.50 deg, intensity 851
(0 0 7), 44.41 deg, intensity 377
(2 2 -1), 46.48 deg, intensity 1000

Crystal structure
abc: 5.525 5.554 14.362
angles: 90.00 96.14 90.00
Space group C2/m (No. 12)
One atom of each set of equivalent atoms:
Ho 0.000 0.000 0.000 (multiplicity 2)
Ga 0.131 0.000 0.424 (multiplicity 4)
P 0.071 0.500 0.250 (multiplicity 4)
Pt 0.000 0.500 0.000 (multiplicity 2)
Pt 0.095 0.500 0.409 (multiplicity 4)
Pt 0.205 0.250 0.844 (multiplicity 8)